# 1
# La2Ni7
Theoretical powder XRD pattern, Cu Kα (λ = 1.5418 Å). Input: a structure optimized by DFT (PBE).
Intensities are scaled so that the largest is 100.

Top 8 peaks for 2θ = 10–90°, sorted by position:
- hkl 1 0 7, 2θ = 32.7°, intensity 60
- hkl 1 1 0, 2θ = 35.7°, intensity 49
- hkl 2 0 1, 2θ = 41.6°, intensity 32
- hkl 1 1 6, 2θ = 42.1°, intensity 100
- hkl 2 0 5, 2θ = 45.5°, intensity 24
- hkl 2 1 7, 2θ = 62.2°, intensity 19
- hkl 3 0 6, 2θ = 68.5°, intensity 26
- hkl 2 2 0, 2θ = 75.5°, intensity 22

```
La2Ni7
1.0
5.0358 0.0000 0.0000
-2.5179 4.3611 0.0000
0.0000 0.0000 24.6643
La Ni
8 28
Direct
0.3333 0.6667 0.0306 La
0.3333 0.6667 0.1743 La
0.3333 0.6667 0.3257 La
0.3333 0.6667 0.4694 La
0.6667 0.3333 0.5306 La
0.6667 0.3333 0.6743 La
0.6667 0.3333 0.8257 La
0.6667 0.3333 0.9694 La
0.0000 0.0000 0.0000 Ni
0.0000 0.0000 0.1689 Ni
0.0000 0.0000 0.3311 Ni
0.0000 0.0000 0.5000 Ni
0.0000 0.0000 0.6689 Ni
0.0000 0.0000 0.8311 Ni
0.1662 0.3323 0.5874 Ni
0.1662 0.3323 0.9126 Ni
0.1662 0.8338 0.5874 Ni
0.1662 0.8338 0.9126 Ni
0.1671 0.3342 0.7500 Ni
0.1671 0.8329 0.7500 Ni
0.3323 0.1662 0.0874 Ni
0.3323 0.1662 0.4126 Ni
0.3333 0.6667 0.6680 Ni
0.3333 0.6667 0.8320 Ni
0.3342 0.1671 0.2500 Ni
0.6658 0.8329 0.7500 Ni
0.6667 0.3333 0.1680 Ni
0.6667 0.3333 0.3320 Ni
0.6677 0.8338 0.5874 Ni
0.6677 0.8338 0.9126 Ni
0.8329 0.1671 0.2500 Ni
0.8329 0.6658 0.2500 Ni
0.8338 0.1662 0.0874 Ni
0.8338 0.1662 0.4126 Ni
0.8338 0.6677 0.0874 Ni
0.8338 0.6677 0.4126 Ni
```

***

# 2
# TmSi2Ni10
Theoretical powder XRD pattern, Cu Kα (λ = 1.5418 Å). Input: a structure optimized by DFT (PBE).
Intensities are scaled so that the largest is 100.

Top 8 peaks for 2θ = 10–90°, sorted by position:
- hkl 2 1 1, 2θ = 31.1°, intensity 22
- hkl 3 0 1, 2θ = 38.3°, intensity 34
- hkl 0 0 2, 2θ = 38.6°, intensity 15
- hkl 4 0 0, 2θ = 44.5°, intensity 100
- hkl 2 0 2, 2θ = 44.7°, intensity 34
- hkl 2 2 2, 2θ = 50.3°, intensity 13
- hkl 3 2 3, 2θ = 73.9°, intensity 12
- hkl 6 3 1, 2θ = 81.9°, intensity 14

```
TmSi2Ni10
1.0
8.1542 0.0000 0.0000
0.0000 8.1542 0.0000
0.0000 0.0000 4.6693
Tm Si Ni
2 4 20
Direct
0.2500 0.2500 0.2210 Tm
0.7500 0.7500 0.7790 Tm
0.0000 0.0000 0.5000 Si
0.0000 0.5000 0.5000 Si
0.5000 0.0000 0.5000 Si
0.5000 0.5000 0.5000 Si
0.0000 0.0000 0.0000 Ni
0.0000 0.5000 0.0000 Ni
0.0281 0.2500 0.7289 Ni
0.1024 0.7500 0.7604 Ni
0.2500 0.0281 0.7289 Ni
0.2500 0.4719 0.7289 Ni
0.2500 0.6024 0.2396 Ni
0.2500 0.8976 0.2396 Ni
0.3976 0.7500 0.7604 Ni
0.4719 0.2500 0.7289 Ni
0.5000 0.0000 0.0000 Ni
0.5000 0.5000 0.0000 Ni
0.5281 0.7500 0.2711 Ni
0.6024 0.2500 0.2396 Ni
0.7500 0.1024 0.7604 Ni
0.7500 0.3976 0.7604 Ni
0.7500 0.5281 0.2711 Ni
0.7500 0.9719 0.2711 Ni
0.8976 0.2500 0.2396 Ni
0.9719 0.7500 0.2711 Ni
```

***

# 3
# Ca3Ga2BiAu9
Theoretical powder XRD pattern, Cu Kα (λ = 1.5418 Å). Input: a structure optimized by DFT (PBE).
Intensities are scaled so that the largest is 100.

Top 8 peaks for 2θ = 10–90°, sorted by position:
- hkl 1 0 1, 2θ = 18.3°, intensity 78
- hkl 0 2 1, 2θ = 28.6°, intensity 97
- hkl 2 1 1, 2θ = 36.3°, intensity 29
- hkl 2 0 2, 2θ = 37.1°, intensity 100
- hkl 2 2 0, 2θ = 44.5°, intensity 60
- hkl 0 4 2, 2θ = 59.3°, intensity 25
- hkl 2 2 3, 2θ = 61.7°, intensity 18
- hkl 4 2 2, 2θ = 77.1°, intensity 23

```
Ca3Ga2BiAu9
1.0
8.1399 0.0000 0.0000
-4.0700 7.0494 0.0000
0.0000 0.0000 6.6854
Ca Ga Bi Au
3 2 1 9
Direct
0.0000 0.0000 0.0000 Ca
0.3333 0.6667 0.6501 Ca
0.6667 0.3333 0.3499 Ca
0.3333 0.6667 0.1322 Ga
0.6667 0.3333 0.8678 Ga
0.0000 0.0000 0.5000 Bi
0.0000 0.5000 0.0000 Au
0.1760 0.3520 0.3069 Au
0.1760 0.8240 0.3069 Au
0.3520 0.1760 0.6931 Au
0.5000 0.0000 0.0000 Au
0.5000 0.5000 0.0000 Au
0.6480 0.8240 0.3069 Au
0.8240 0.1760 0.6931 Au
0.8240 0.6480 0.6931 Au
```

***

# 4
# BaCa2Pt
Theoretical powder XRD pattern, Cu Kα (λ = 1.5418 Å). Input: a structure optimized by DFT (PBE).
Intensities are scaled so that the largest is 100.

Top 8 peaks for 2θ = 10–90°, sorted by position:
- hkl 0 0 6, 2θ = 18.2°, intensity 74
- hkl 1 0 1, 2θ = 24.0°, intensity 65
- hkl 0 1 2, 2θ = 24.6°, intensity 40
- hkl 0 1 5, 2θ = 28.3°, intensity 100
- hkl 1 0 7, 2θ = 32.1°, intensity 41
- hkl 0 1 8, 2θ = 34.3°, intensity 33
- hkl 1 1 0, 2θ = 41.9°, intensity 49
- hkl 1 1 6, 2θ = 46.0°, intensity 41

```
BaCa2Pt
1.0
4.3125 0.0000 0.0000
-2.1562 3.7347 0.0000
0.0000 0.0000 29.3018
Ba Ca Pt
3 6 3
Direct
0.0000 0.0000 0.0000 Ba
0.3333 0.6667 0.6667 Ba
0.6667 0.3333 0.3333 Ba
0.0000 0.0000 0.5466 Ca
0.0000 0.0000 0.7818 Ca
0.3333 0.6667 0.2132 Ca
0.3333 0.6667 0.4485 Ca
0.6667 0.3333 0.1152 Ca
0.6667 0.3333 0.8799 Ca
0.0000 0.0000 0.1636 Pt
0.3333 0.6667 0.8303 Pt
0.6667 0.3333 0.4969 Pt
```

***

Copy entry 1 word for word.
# La2Ni7
Theoretical powder XRD pattern, Cu Kα (λ = 1.5418 Å). Input: a structure optimized by DFT (PBE).
Intensities are scaled so that the largest is 100.

Top 8 peaks for 2θ = 10–90°, sorted by position:
- hkl 1 0 7, 2θ = 32.7°, intensity 60
- hkl 1 1 0, 2θ = 35.7°, intensity 49
- hkl 2 0 1, 2θ = 41.6°, intensity 32
- hkl 1 1 6, 2θ = 42.1°, intensity 100
- hkl 2 0 5, 2θ = 45.5°, intensity 24
- hkl 2 1 7, 2θ = 62.2°, intensity 19
- hkl 3 0 6, 2θ = 68.5°, intensity 26
- hkl 2 2 0, 2θ = 75.5°, intensity 22

```
La2Ni7
1.0
5.0358 0.0000 0.0000
-2.5179 4.3611 0.0000
0.0000 0.0000 24.6643
La Ni
8 28
Direct
0.3333 0.6667 0.0306 La
0.3333 0.6667 0.1743 La
0.3333 0.6667 0.3257 La
0.3333 0.6667 0.4694 La
0.6667 0.3333 0.5306 La
0.6667 0.3333 0.6743 La
0.6667 0.3333 0.8257 La
0.6667 0.3333 0.9694 La
0.0000 0.0000 0.0000 Ni
0.0000 0.0000 0.1689 Ni
0.0000 0.0000 0.3311 Ni
0.0000 0.0000 0.5000 Ni
0.0000 0.0000 0.6689 Ni
0.0000 0.0000 0.8311 Ni
0.1662 0.3323 0.5874 Ni
0.1662 0.3323 0.9126 Ni
0.1662 0.8338 0.5874 Ni
0.1662 0.8338 0.9126 Ni
0.1671 0.3342 0.7500 Ni
0.1671 0.8329 0.7500 Ni
0.3323 0.1662 0.0874 Ni
0.3323 0.1662 0.4126 Ni
0.3333 0.6667 0.6680 Ni
0.3333 0.6667 0.8320 Ni
0.3342 0.1671 0.2500 Ni
0.6658 0.8329 0.7500 Ni
0.6667 0.3333 0.1680 Ni
0.6667 0.3333 0.3320 Ni
0.6677 0.8338 0.5874 Ni
0.6677 0.8338 0.9126 Ni
0.8329 0.1671 0.2500 Ni
0.8329 0.6658 0.2500 Ni
0.8338 0.1662 0.0874 Ni
0.8338 0.1662 0.4126 Ni
0.8338 0.6677 0.0874 Ni
0.8338 0.6677 0.4126 Ni
```